Entry 1:
# MgCo3O7
Computed powder diffraction line list, copper Kα. Input: a cell relaxed with GGA+U.

Main lines, by angle (2θ from 10° to 90°):
2θ/deg, I/Imax
17.7, 100
26.2, 39
30.5, 73
31.7, 39
34.2, 16
35.9, 17
36.6, 16
44.0, 16
51.3, 23
53.8, 19

Atomic structure:
```
MgCo3O7
1.0
10.006 0.000 0.000
0.000 10.029 0.000
0.000 0.000 5.242
Mg Co O
4 12 28
direct
0.074 0.250 0.148
0.426 0.750 0.648
0.574 0.250 0.352
0.926 0.750 0.852
0.187 0.526 0.698
0.187 0.974 0.698
0.226 0.750 0.192
0.274 0.250 0.692
0.313 0.026 0.198
0.313 0.474 0.198
0.687 0.526 0.802
0.687 0.974 0.802
0.726 0.750 0.308
0.774 0.250 0.808
0.813 0.026 0.302
0.813 0.474 0.302
0.036 0.594 0.720
0.036 0.906 0.720
0.060 0.750 0.165
0.211 0.119 0.459
0.211 0.381 0.459
0.212 0.122 0.938
0.212 0.378 0.938
0.288 0.622 0.438
0.288 0.878 0.438
0.289 0.619 0.959
0.289 0.881 0.959
0.440 0.250 0.665
0.464 0.094 0.220
0.464 0.406 0.220
0.536 0.594 0.780
0.536 0.906 0.780
0.560 0.750 0.335
0.711 0.119 0.041
0.711 0.381 0.041
0.712 0.122 0.562
0.712 0.378 0.562
0.788 0.622 0.062
0.788 0.878 0.062
0.789 0.619 0.541
0.789 0.881 0.541
0.940 0.250 0.835
0.964 0.094 0.280
0.964 0.406 0.280
```


Entry 2:
# Cs6Fe2O5
Computed powder diffraction line list, copper Kα. Input: a cell relaxed with GGA+U.

Main lines, by angle (2θ from 10° to 90°):
2θ/deg, I/Imax
24.4, 22
26.7, 35
27.6, 97
27.9, 100
28.5, 48
32.3, 22
35.4, 55
44.6, 20
46.1, 18
50.6, 19

Atomic structure:
```
Cs6Fe2O5
1.0
3.780 -6.270 0.000
3.780 6.270 0.000
-0.672 0.000 7.440
Cs Fe O
6 2 5
direct
0.213 0.787 0.000
0.242 0.758 0.500
0.356 0.356 0.188
0.644 0.644 0.812
0.758 0.242 0.500
0.787 0.213 0.000
0.196 0.196 0.685
0.804 0.804 0.315
0.000 0.000 0.500
0.168 0.429 0.775
0.429 0.168 0.775
0.571 0.832 0.225
0.832 0.571 0.225
```


Entry 3:
# CsNiPdF5
Computed powder diffraction line list, copper Kα. Input: a cell relaxed with GGA+U.

Main lines, by angle (2θ from 10° to 90°):
2θ/deg, I/Imax
24.3, 49
27.6, 54
28.3, 77
28.8, 27
30.5, 100
31.6, 33
43.8, 36
45.9, 23
49.9, 61
68.5, 24

Atomic structure:
```
CsNiPdF5
1.0
-3.327 3.794 5.364
3.327 -3.794 5.364
3.327 3.794 -5.364
Cs Ni Pd F
2 2 2 10
direct
0.369 0.119 0.250
0.631 0.881 0.750
0.000 0.500 0.500
0.500 0.500 0.000
0.000 0.000 0.500
0.000 0.500 0.000
0.058 0.394 0.211
0.058 0.846 0.664
0.318 0.154 0.711
0.318 0.606 0.164
0.320 0.570 0.750
0.680 0.430 0.250
0.682 0.394 0.836
0.682 0.846 0.289
0.942 0.154 0.336
0.942 0.606 0.789
```


Entry 4:
# Co2NiO6
Computed powder diffraction line list, copper Kα. Input: a cell relaxed with GGA+U.

Main lines, by angle (2θ from 10° to 90°):
2θ/deg, I/Imax
18.7, 100
37.2, 21
37.4, 11
38.8, 5
44.7, 14
44.9, 14
45.1, 14
58.7, 5
58.9, 5
66.1, 8

Atomic structure:
```
Co2NiO6
1.0
2.827 0.000 0.000
-0.032 5.743 0.000
-1.402 -1.628 6.076
Co Ni O
2 1 6
direct
0.167 0.334 0.333
0.833 0.666 0.667
0.500 0.000 0.000
0.014 0.221 0.023
0.318 0.444 0.642
0.347 0.889 0.693
0.653 0.111 0.307
0.682 0.556 0.358
0.986 0.779 0.977
```


Entry 5:
# NiP2O7
Computed powder diffraction line list, copper Kα. Input: a cell relaxed with GGA+U.

Main lines, by angle (2θ from 10° to 90°):
2θ/deg, I/Imax
14.9, 84
16.8, 100
21.1, 26
24.9, 50
28.3, 83
29.0, 82
29.6, 99
34.5, 24
41.8, 32
56.3, 22

Atomic structure:
```
NiP2O7
1.0
7.334 0.000 0.000
0.000 8.402 0.000
-3.965 0.000 8.398
Ni P O
4 8 28
direct
0.230 0.083 0.109
0.230 0.417 0.609
0.770 0.583 0.391
0.770 0.917 0.891
0.067 0.718 0.749
0.067 0.782 0.249
0.458 0.736 0.033
0.458 0.764 0.533
0.542 0.236 0.467
0.542 0.264 0.967
0.933 0.218 0.751
0.933 0.282 0.251
0.019 0.586 0.623
0.019 0.914 0.123
0.094 0.248 0.192
0.094 0.252 0.692
0.106 0.620 0.188
0.106 0.880 0.688
0.264 0.650 0.895
0.264 0.850 0.395
0.392 0.231 0.037
0.392 0.269 0.537
0.392 0.609 0.582
0.392 0.891 0.082
0.468 0.110 0.335
0.468 0.390 0.835
0.532 0.610 0.165
0.532 0.890 0.665
0.608 0.109 0.918
0.608 0.391 0.418
0.608 0.731 0.463
0.608 0.769 0.963
0.736 0.150 0.605
0.736 0.350 0.105
0.894 0.120 0.312
0.894 0.380 0.812
0.906 0.748 0.308
0.906 0.752 0.808
0.981 0.086 0.877
0.981 0.414 0.377
```


Entry 6:
# Fe10O9F11
Computed powder diffraction line list, copper Kα. Input: a cell relaxed with GGA+U.

Main lines, by angle (2θ from 10° to 90°):
2θ/deg, I/Imax
26.1, 96
27.0, 91
34.5, 100
39.2, 18
39.8, 17
51.6, 59
52.7, 51
53.6, 17
59.5, 17
66.2, 38

Atomic structure:
```
Fe10O9F11
1.0
3.304 -3.418 0.000
3.304 3.418 0.000
-0.004 0.000 15.534
Fe O F
10 9 11
direct
0.000 0.000 0.000
0.010 0.969 0.594
0.015 0.027 0.202
0.031 0.990 0.406
0.504 0.453 0.293
0.517 0.483 0.500
0.519 0.433 0.098
0.547 0.496 0.707
0.567 0.481 0.902
0.973 0.985 0.798
0.199 0.167 0.305
0.203 0.167 0.098
0.221 0.182 0.502
0.707 0.282 0.199
0.714 0.286 0.000
0.718 0.293 0.801
0.818 0.779 0.498
0.833 0.797 0.902
0.833 0.801 0.695
0.221 0.189 0.898
0.222 0.188 0.697
0.309 0.678 0.198
0.322 0.691 0.802
0.323 0.672 0.400
0.326 0.674 0.000
0.328 0.677 0.600
0.710 0.283 0.402
0.717 0.290 0.598
0.811 0.779 0.102
0.812 0.778 0.303
```